Record 1
Diffraction record for NaNdSBr. The powder diffractogram is computed, not measured: it uses a DFT-relaxed cell (GGA-PBE, Alexandria) and Cu Kα X-rays.
Lines closer than 0.1° are merged.

```
NaNdSBr
1.0
4.0143 0.0000 0.0000
-2.0072 3.4765 0.0000
0.0000 0.0000 22.6833
Na Nd S Br
3 3 3 3
direct
0.0000 0.0000 0.0000
0.3333 0.6667 0.6667
0.6667 0.3333 0.3333
0.0000 0.0000 0.1931
0.3333 0.6667 0.8597
0.6667 0.3333 0.5264
0.0000 0.0000 0.5984
0.3333 0.6667 0.2650
0.6667 0.3333 0.9317
0.0000 0.0000 0.7690
0.3333 0.6667 0.4357
0.6667 0.3333 0.1024
```

Most intense lines, 5 to 70 degrees two-theta, in order of rising 2θ:
7.561 Å, 2θ = 11.70°, I 797
3.324 Å, 2θ = 26.82°, I 817
2.964 Å, 2θ = 30.15°, I 266
2.759 Å, 2θ = 32.45°, I 1000
2.370 Å, 2θ = 37.96°, I 487
2.007 Å, 2θ = 45.17°, I 448
1.900 Å, 2θ = 47.88°, I 210
1.623 Å, 2θ = 56.71°, I 195

Record 2
Diffraction record for Li3H6Pd2. The powder diffractogram is computed, not measured: it uses a DFT-relaxed cell (GGA-PBE, Alexandria) and Cu Kα X-rays.
Lines closer than 0.1° are merged.

```
Li3H6Pd2
1.0
-1.7604 1.7604 7.7809
1.7604 -1.7604 7.7809
1.7604 1.7604 -7.7809
Li H Pd
3 6 2
direct
0.0000 0.0000 0.0000
0.1783 0.1783 0.0000
0.8217 0.8217 0.0000
0.0844 0.5844 0.5000
0.3003 0.3003 0.0000
0.4156 0.9156 0.5000
0.5844 0.0844 0.5000
0.6997 0.6997 0.0000
0.9156 0.4156 0.5000
0.4092 0.4092 0.0000
0.5908 0.5908 0.0000
```

Most intense lines, 5 to 70 degrees two-theta, in order of rising 2θ:
7.781 Å, 2θ = 11.37°, I 450
3.890 Å, 2θ = 22.86°, I 228
3.434 Å, 2θ = 25.95°, I 1000
2.490 Å, 2θ = 36.08°, I 362
2.332 Å, 2θ = 38.61°, I 541
1.796 Å, 2θ = 50.84°, I 182
1.567 Å, 2θ = 58.96°, I 193
1.405 Å, 2θ = 66.56°, I 214

Record 3
Diffraction record for SmTaC. The powder diffractogram is computed, not measured: it uses a DFT-relaxed cell (GGA-PBE, Alexandria) and Cu Kα X-rays.
Lines closer than 0.1° are merged.

```
SmTaC
1.0
2.8925 1.6700 5.5847
-2.8925 1.6700 5.5847
0.0000 -3.3399 5.5847
Sm Ta C
3 3 3
direct
0.0060 0.6614 0.3325
0.3325 0.0060 0.6614
0.6614 0.3325 0.0060
0.1702 0.5033 0.8381
0.5033 0.8381 0.1702
0.8381 0.1702 0.5033
0.2285 0.2285 0.2285
0.4384 0.4384 0.4384
0.8953 0.8953 0.8953
```

Most intense lines, 5 to 70 degrees two-theta, in order of rising 2θ:
2.892 Å, 2θ = 30.92°, I 205
2.792 Å, 2θ = 32.05°, I 266
2.568 Å, 2θ = 34.93°, I 1000
2.009 Å, 2θ = 45.13°, I 183
1.670 Å, 2θ = 54.99°, I 193
1.565 Å, 2θ = 59.01°, I 222
1.433 Å, 2θ = 65.08°, I 213
1.400 Å, 2θ = 66.82°, I 153

Record 4
Diffraction record for TmCd3Ag3. The powder diffractogram is computed, not measured: it uses a DFT-relaxed cell (GGA-PBE, Alexandria) and Cu Kα X-rays.
Lines closer than 0.1° are merged.

```
TmCd3Ag3
1.0
3.6597 2.1129 6.4884
-3.6597 2.1129 6.4884
0.0000 -4.2258 6.4884
Tm Cd Ag
2 6 6
direct
0.1574 0.1574 0.1574
0.8426 0.8426 0.8426
0.0600 0.2296 0.5810
0.2296 0.5810 0.0600
0.4190 0.9400 0.7704
0.5810 0.0600 0.2296
0.7704 0.4190 0.9400
0.9400 0.7704 0.4190
0.2132 0.4296 0.6805
0.3195 0.7869 0.5704
0.4296 0.6805 0.2132
0.5704 0.3195 0.7869
0.6805 0.2132 0.4296
0.7869 0.5704 0.3195
```

Most intense lines, 5 to 70 degrees two-theta, in order of rising 2θ:
3.188 Å, 2θ = 27.99°, I 535
2.656 Å, 2θ = 33.75°, I 320
2.546 Å, 2θ = 35.24°, I 393
2.428 Å, 2θ = 37.03°, I 1000
2.378 Å, 2θ = 37.84°, I 886
2.326 Å, 2θ = 38.71°, I 470
1.862 Å, 2θ = 48.93°, I 172
1.486 Å, 2θ = 62.50°, I 199

Record 5
Diffraction record for YHf2Cu9. The powder diffractogram is computed, not measured: it uses a DFT-relaxed cell (GGA-PBE, Alexandria) and Cu Kα X-rays.
Lines closer than 0.1° are merged.

```
YHf2Cu9
1.0
2.5299 1.4606 8.0988
-2.5299 1.4606 8.0988
0.0000 -2.9212 8.0988
Y Hf Cu
1 2 9
direct
0.0000 0.0000 0.0000
0.1492 0.1492 0.1492
0.8508 0.8508 0.8508
0.0829 0.5858 0.5858
0.3327 0.3327 0.3327
0.4142 0.4142 0.9171
0.4142 0.9171 0.4142
0.5000 0.5000 0.5000
0.5858 0.0829 0.5858
0.5858 0.5858 0.0829
0.6673 0.6673 0.6673
0.9171 0.4142 0.4142
```

Most intense lines, 5 to 70 degrees two-theta, in order of rising 2θ:
8.099 Å, 2θ = 10.92°, I 272
2.721 Å, 2θ = 32.92°, I 319
2.530 Å, 2θ = 35.48°, I 414
2.182 Å, 2θ = 41.38°, I 277
2.146 Å, 2θ = 42.12°, I 1000
2.061 Å, 2θ = 43.93°, I 152
2.025 Å, 2θ = 44.76°, I 173
1.374 Å, 2θ = 68.26°, I 226

Record 6
Diffraction record for BeGaFe2Br. The powder diffractogram is computed, not measured: it uses a DFT-relaxed cell (GGA-PBE, Alexandria) and Cu Kα X-rays.
Lines closer than 0.1° are merged.

```
BeGaFe2Br
1.0
4.7761 0.0000 0.0000
0.0000 4.7761 0.0000
0.0000 0.0000 4.1534
Be Ga Fe Br
1 1 2 1
direct
0.0000 0.0000 0.0000
0.0000 0.0000 0.5000
0.0000 0.5000 0.5000
0.5000 0.0000 0.5000
0.5000 0.5000 0.0000
```

Most intense lines, 5 to 70 degrees two-theta, in order of rising 2θ:
4.153 Å, 2θ = 21.39°, I 246
3.134 Å, 2θ = 28.48°, I 1000
2.620 Å, 2θ = 34.22°, I 489
2.388 Å, 2θ = 37.67°, I 826
2.077 Å, 2θ = 43.58°, I 269
1.899 Å, 2θ = 47.89°, I 469
1.689 Å, 2θ = 54.33°, I 271
1.567 Å, 2θ = 58.94°, I 419